1.
Ba6Ni5O15: calculated X-ray powder pattern (Cu Kα X-rays), based on a crystal structure in Alexandria, relaxed with GGA+U.
Kinematic intensities with the Lorentz-polarization factor, no thermal factor.

Peak list (10 most intense, 5° ≤ 2θ ≤ 70°, sorted by position)
2theta  d_spacing  I_rel
27.4  3.260  100
30.9  2.898  97
41.7  2.166  55
42.2  2.143  9
44.7  2.025  9
46.1  1.971  11
52.8  1.735  26
53.2  1.723  19
54.9  1.673  17
64.3  1.449  16

Cell and atoms:
```
Ba6Ni5O15
1.0
5.020 2.898 4.286
-5.020 2.898 4.286
0.000 -5.797 4.286
Ba Ni O
6 5 15
Direct
0.000 0.336 0.664 Ba
0.149 0.851 0.500 Ba
0.336 0.664 0.000 Ba
0.500 0.149 0.851 Ba
0.664 0.000 0.336 Ba
0.851 0.500 0.149 Ba
0.095 0.095 0.095 Ni
0.290 0.290 0.290 Ni
0.500 0.500 0.500 Ni
0.710 0.710 0.710 Ni
0.905 0.905 0.905 Ni
0.000 0.857 0.143 O
0.037 0.193 0.329 O
0.143 0.000 0.857 O
0.193 0.329 0.037 O
0.235 0.529 0.365 O
0.329 0.037 0.193 O
0.365 0.235 0.529 O
0.471 0.765 0.635 O
0.529 0.365 0.235 O
0.635 0.471 0.765 O
0.671 0.807 0.963 O
0.765 0.635 0.471 O
0.807 0.963 0.671 O
0.857 0.143 0.000 O
0.963 0.671 0.807 O
```

***

2.
Ba3NiO4: calculated X-ray powder pattern (Cu Kα X-rays), based on a crystal structure in Alexandria, relaxed with GGA+U.
Kinematic intensities with the Lorentz-polarization factor, no thermal factor.

Peak list (10 most intense, 5° ≤ 2θ ≤ 70°, sorted by position)
2theta  d_spacing  I_rel
27.5  3.244  100
28.0  3.187  83
31.9  2.804  58
33.6  2.665  64
34.9  2.573  52
39.3  2.295  34
44.0  2.059  26
47.9  1.898  41
50.9  1.795  19
55.3  1.661  27

Cell and atoms:
```
Ba3NiO4
1.0
3.977 2.296 5.609
-3.977 2.296 5.609
0.000 -4.592 5.609
Ba Ni O
6 2 8
Direct
0.165 0.750 0.335 Ba
0.250 0.665 0.835 Ba
0.335 0.165 0.750 Ba
0.665 0.835 0.250 Ba
0.750 0.335 0.165 Ba
0.835 0.250 0.665 Ba
0.250 0.250 0.250 Ni
0.750 0.750 0.750 Ni
0.000 0.000 0.000 O
0.016 0.484 0.250 O
0.250 0.016 0.484 O
0.484 0.250 0.016 O
0.500 0.500 0.500 O
0.516 0.750 0.984 O
0.750 0.984 0.516 O
0.984 0.516 0.750 O
```

***

3.
Ba2Ni3O8: calculated X-ray powder pattern (Cu Kα X-rays), based on a crystal structure in Alexandria, relaxed with GGA+U.
Kinematic intensities with the Lorentz-polarization factor, no thermal factor.

Peak list (10 most intense, 5° ≤ 2θ ≤ 70°, sorted by position)
2theta  d_spacing  I_rel
7.5  11.852  65
14.9  5.926  17
27.3  3.271  19
32.2  2.784  100
32.3  2.774  43
45.9  1.975  15
46.3  1.961  34
57.3  1.609  17
57.5  1.603  37
67.3  1.392  18

Cell and atoms:
```
Ba2Ni3O8
1.0
3.922 0.000 0.000
0.000 3.922 0.000
0.000 0.000 11.852
Ba Ni O
2 3 8
Direct
0.000 0.000 0.173 Ba
0.000 0.000 0.827 Ba
0.500 0.500 0.000 Ni
0.500 0.500 0.343 Ni
0.500 0.500 0.657 Ni
0.000 0.500 0.000 O
0.000 0.500 0.352 O
0.000 0.500 0.648 O
0.500 0.000 0.000 O
0.500 0.000 0.352 O
0.500 0.000 0.648 O
0.500 0.500 0.166 O
0.500 0.500 0.834 O
```

***

4.
Ba2NiP2O8: calculated X-ray powder pattern (Cu Kα X-rays), based on a crystal structure in Alexandria, relaxed with GGA+U.
Kinematic intensities with the Lorentz-polarization factor, no thermal factor.

Peak list (10 most intense, 5° ≤ 2θ ≤ 70°, sorted by position)
2theta  d_spacing  I_rel
25.2  3.534  66
25.5  3.494  87
25.9  3.445  70
26.5  3.369  58
28.1  3.178  93
28.3  3.158  100
29.7  3.005  58
32.0  2.800  61
33.2  2.697  73
45.8  1.981  48

Cell and atoms:
```
Ba2NiP2O8
1.0
5.395 0.000 0.000
0.000 8.932 0.000
-5.176 0.000 16.247
Ba Ni P O
8 4 8 32
Direct
0.027 0.155 0.270 Ba
0.027 0.345 0.770 Ba
0.180 0.703 0.981 Ba
0.180 0.797 0.481 Ba
0.820 0.203 0.519 Ba
0.820 0.297 0.019 Ba
0.973 0.655 0.230 Ba
0.973 0.845 0.730 Ba
0.409 0.011 0.133 Ni
0.409 0.489 0.633 Ni
0.591 0.511 0.367 Ni
0.591 0.989 0.867 Ni
0.189 0.086 0.922 P
0.189 0.414 0.422 P
0.419 0.112 0.667 P
0.419 0.388 0.167 P
0.581 0.612 0.833 P
0.581 0.888 0.333 P
0.811 0.586 0.578 P
0.811 0.914 0.078 P
0.096 0.635 0.626 O
0.096 0.865 0.126 O
0.225 0.087 0.015 O
0.225 0.413 0.515 O
0.241 0.030 0.589 O
0.241 0.470 0.089 O
0.241 0.570 0.388 O
0.241 0.930 0.888 O
0.294 0.612 0.834 O
0.294 0.888 0.334 O
0.313 0.225 0.168 O
0.313 0.275 0.668 O
0.384 0.195 0.900 O
0.384 0.305 0.400 O
0.392 0.030 0.745 O
0.392 0.470 0.245 O
0.608 0.530 0.755 O
0.608 0.970 0.255 O
0.616 0.695 0.600 O
0.616 0.805 0.100 O
0.687 0.725 0.332 O
0.687 0.775 0.832 O
0.706 0.112 0.666 O
0.706 0.388 0.166 O
0.759 0.070 0.112 O
0.759 0.430 0.612 O
0.759 0.530 0.911 O
0.759 0.970 0.411 O
0.775 0.587 0.485 O
0.775 0.913 0.985 O
0.904 0.135 0.874 O
0.904 0.365 0.374 O
```

***

5.
Ba3PaNi2O8: calculated X-ray powder pattern (Cu Kα X-rays), based on a crystal structure in Alexandria, relaxed with GGA+U.
Kinematic intensities with the Lorentz-polarization factor, no thermal factor.

Peak list (10 most intense, 5° ≤ 2θ ≤ 70°, sorted by position)
2theta  d_spacing  I_rel
11.5  7.685  25
17.1  5.200  16
28.9  3.090  95
29.8  3.002  100
42.0  2.153  46
50.6  1.802  18
52.3  1.750  37
52.8  1.733  20
61.8  1.501  16
69.6  1.350  16

Cell and atoms:
```
Ba3PaNi2O8
1.0
6.004 0.000 0.000
-3.002 5.200 0.000
0.000 0.000 7.685
Ba Pa Ni O
3 1 2 8
Direct
0.000 0.000 0.000 Ba
0.333 0.667 0.658 Ba
0.667 0.333 0.342 Ba
0.000 0.000 0.500 Pa
0.333 0.667 0.207 Ni
0.667 0.333 0.793 Ni
0.167 0.335 0.331 O
0.167 0.833 0.331 O
0.333 0.667 0.975 O
0.335 0.167 0.669 O
0.665 0.833 0.331 O
0.667 0.333 0.025 O
0.833 0.167 0.669 O
0.833 0.665 0.669 O
```

***

6.
Ba3NiPd2O6: calculated X-ray powder pattern (Cu Kα X-rays), based on a crystal structure in Alexandria, relaxed with GGA+U.
Kinematic intensities with the Lorentz-polarization factor, no thermal factor.

Peak list (10 most intense, 5° ≤ 2θ ≤ 70°, sorted by position)
2theta  d_spacing  I_rel
21.6  4.118  9
29.9  2.989  100
31.5  2.840  85
37.2  2.419  6
44.0  2.059  48
53.1  1.726  20
54.1  1.696  37
57.1  1.614  14
62.1  1.494  17
65.8  1.420  12

Cell and atoms:
```
Ba3NiPd2O6
1.0
5.978 0.000 0.000
-2.989 5.177 0.000
0.000 0.000 6.795
Ba Ni Pd O
3 1 2 6
Direct
0.000 0.000 0.000 Ba
0.333 0.667 0.640 Ba
0.667 0.333 0.360 Ba
0.000 0.000 0.500 Ni
0.333 0.667 0.170 Pd
0.667 0.333 0.830 Pd
0.160 0.321 0.315 O
0.160 0.840 0.315 O
0.321 0.160 0.685 O
0.679 0.840 0.315 O
0.840 0.160 0.685 O
0.840 0.679 0.685 O
```

***

7.
BaSrPrNiO6: calculated X-ray powder pattern (Cu Kα X-rays), based on a crystal structure in Alexandria, relaxed with GGA+U.
Kinematic intensities with the Lorentz-polarization factor, no thermal factor.

Peak list (10 most intense, 5° ≤ 2θ ≤ 70°, sorted by position)
2theta  d_spacing  I_rel
18.4  4.832  7
30.2  2.959  100
35.6  2.523  7
37.2  2.416  3
43.2  2.092  31
47.3  1.920  4
53.7  1.708  39
57.2  1.611  2
62.8  1.479  19
66.0  1.415  2

Cell and atoms:
```
BaSrPrNiO6
1.0
0.000 4.185 4.185
4.185 0.000 4.185
4.185 4.185 0.000
Ba Sr Pr Ni O
1 1 1 1 6
Direct
0.000 0.000 0.000 Ba
0.500 0.500 0.500 Sr
0.750 0.750 0.750 Pr
0.250 0.250 0.250 Ni
0.026 0.026 0.474 O
0.026 0.474 0.026 O
0.026 0.474 0.474 O
0.474 0.026 0.026 O
0.474 0.026 0.474 O
0.474 0.474 0.026 O
```

***

8.
Ba4Re2NiO12: calculated X-ray powder pattern (Cu Kα X-rays), based on a crystal structure in Alexandria, relaxed with GGA+U.
Kinematic intensities with the Lorentz-polarization factor, no thermal factor.

Peak list (10 most intense, 5° ≤ 2θ ≤ 70°, sorted by position)
2theta  d_spacing  I_rel
18.6  4.766  22
23.5  3.788  17
28.1  3.177  28
30.6  2.920  100
36.1  2.489  25
42.0  2.150  20
48.0  1.894  21
54.4  1.686  27
58.1  1.589  20
63.7  1.460  15

Cell and atoms:
```
Ba4Re2NiO12
1.0
2.920 1.686 9.526
-2.920 1.686 9.526
0.000 -3.372 9.526
Ba Re Ni O
4 2 1 12
Direct
0.000 0.000 0.000 Ba
0.160 0.160 0.160 Ba
0.412 0.412 0.412 Ba
0.573 0.573 0.573 Ba
0.287 0.287 0.287 Re
0.794 0.794 0.794 Re
0.698 0.698 0.698 Ni
0.015 0.485 0.485 O
0.099 0.099 0.556 O
0.099 0.556 0.099 O
0.142 0.669 0.669 O
0.449 0.900 0.900 O
0.485 0.015 0.485 O
0.485 0.485 0.015 O
0.556 0.099 0.099 O
0.669 0.142 0.669 O
0.669 0.669 0.142 O
0.900 0.449 0.900 O
0.900 0.900 0.449 O
```